This entry pairs a crystal structure of La3AgO6 with its computed X-ray powder pattern. Radiation: Cu Ka. Structure: a DFT-relaxed cell (PBE, Alexandria).
Kinematic intensities with the Lorentz-polarization factor, no thermal factor.

Largest 6 diffraction maxima, sorted by position, 2θ = 10–90°:
Position (°2θ), I_rel
28.56, 100
30.45, 15
30.70, 16
43.79, 24
52.95, 14
53.28, 16

Cell and atoms:
a = 7.566 Å, b = 7.566 Å, c = 5.824 Å
α = 90.00°, β = 90.00°, γ = 101.80°
Sites, in units of the cell vectors:
La1 0.106 0.894 0.500
La2 0.178 0.411 0.548
La3 0.411 0.178 0.048
La4 0.589 0.822 0.548
La5 0.822 0.589 0.048
La6 0.894 0.106 0.000
Ag1 0.362 0.638 0.049
Ag2 0.638 0.362 0.549
O1 0.096 0.603 0.252
O2 0.146 0.169 0.278
O3 0.169 0.146 0.778
O4 0.279 0.721 0.732
O5 0.397 0.904 0.252
O6 0.481 0.519 0.332
O7 0.519 0.481 0.832
O8 0.603 0.096 0.752
O9 0.721 0.279 0.232
O10 0.831 0.854 0.278
O11 0.854 0.831 0.778
O12 0.904 0.397 0.752